Starting from a crystal structure in Alexandria, relaxed with GGA-PBE, the PXRD pattern of SrU4S8 was calculated for Cu Kα (λ = 1.5418 Å).
No peak broadening, texture or thermal motion is included.

```
data_SrU4S8
_chemical_formula_sum 'Sr2 U8 S16'
_cell_length_a 13.782
_cell_length_b 7.992
_cell_length_c 9.858
_cell_angle_alpha 90.00
_cell_angle_beta 133.44
_cell_angle_gamma 90.00
_symmetry_space_group_name_H-M 'C 1 2/m 1'
_symmetry_Int_Tables_number 12
_symmetry_space_group_name_Hall '-C 2y'
loop_
_atom_site_label
_atom_site_fract_x
_atom_site_fract_y
_atom_site_fract_z
Sr1 0.000 0.000 0.000
U1 0.000 0.253 0.500
U2 0.231 0.500 0.465
S1 0.004 0.000 0.692
S2 0.027 0.500 0.711
S3 0.230 0.232 0.294
```

The 10 most intense peaks (10 to 90 degrees two-theta), by intensity:
| 2θ/deg | d [Å] | I/Imax | h k l |
| --- | --- | --- | --- |
| 12.4 | 7.158 | 100 | 0 0 1 |
| 25.8 | 3.453 | 52 | 2 2 -1 |
| 28.8 | 3.103 | 36 | 2 2 -2 |
| 35.9 | 2.499 | 32 | 4 0 0 |
| 28.6 | 3.123 | 29 | 4 0 -1 |
| 36.3 | 2.477 | 28 | 2 2 -3 |
| 45.6 | 1.991 | 16 | 6 2 -3 |
| 47.2 | 1.925 | 15 | 6 2 -2 |
| 24.9 | 3.579 | 13 | 0 0 2 |
| 46.1 | 1.971 | 9 | 2 2 2 |